For HgMoN2, a DFT-relaxed cell (GGA-PBE, Alexandria) gives the theoretical powder diffraction line list in this record (Cu Kα, 1.54184 Å).

Atomic structure:
a b c (Å): 6.0883 6.0883 6.0883
angles (deg): 60.00 60.00 60.00
Element x y z (fractional)
Hg1 0.1250 0.1250 0.1250
Hg2 0.8750 0.8750 0.8750
Mo1 0.3750 0.3750 0.3750
Mo2 0.6250 0.6250 0.6250
N1 0.0000 0.5000 0.5000
N2 0.5000 0.0000 0.5000
N3 0.5000 0.5000 0.0000
N4 0.5000 0.5000 0.5000

Principal peaks in the range 10° ≤ 2θ ≤ 90°, in order of falling intensity:
2θ (°)  d (Å)  I_rel
29.3  3.044  100
52.0  1.758  41
84.1  1.151  21
69.0  1.361  18
42.0  2.153  16
60.9  1.522  15
34.6  2.596  11
17.8  4.971  7
76.7  1.243  4
55.5  1.657  4



For AcPu2Ge4, a DFT-relaxed cell (GGA-PBE, Alexandria) gives the theoretical powder diffraction line list in this record (Cu Kα, 1.54184 Å).

Atomic structure:
a b c (Å): 4.1316 4.4739 18.6983
angles (deg): 90.00 90.00 90.00
Element x y z (fractional)
Ac1 0.0000 0.0000 0.0000
Ac2 0.5000 0.5000 0.5000
Pu1 0.0000 0.5000 0.3158
Pu2 0.0000 0.5000 0.6842
Pu3 0.5000 0.0000 0.1842
Pu4 0.5000 0.0000 0.8158
Ge1 0.0000 0.0000 0.4284
Ge2 0.0000 0.0000 0.5716
Ge3 0.0000 0.5000 0.1555
Ge4 0.0000 0.5000 0.8445
Ge5 0.5000 0.0000 0.3445
Ge6 0.5000 0.0000 0.6555
Ge7 0.5000 0.5000 0.0716
Ge8 0.5000 0.5000 0.9284

Principal peaks in the range 10° ≤ 2θ ≤ 90°, in order of falling intensity:
2θ (°)  d (Å)  I_rel
31.0  2.887  100
31.2  2.869  51
25.9  3.444  38
40.3  2.237  26
28.6  3.116  22
54.8  1.676  22
43.8  2.066  20
40.2  2.243  20
49.2  1.852  18
41.5  2.174  17



For CsCaTeSe, a DFT-relaxed cell (GGA-PBE, Alexandria) gives the theoretical powder diffraction line list in this record (Cu Kα, 1.54184 Å).

Atomic structure:
a b c (Å): 4.4017 4.2522 8.0533
angles (deg): 90.00 100.76 90.00
Element x y z (fractional)
Cs1 0.0000 0.0000 0.0000
Ca1 0.1603 0.0000 0.5126
Te1 0.6052 0.5000 0.3597
Se1 0.4370 0.5000 0.7349

Principal peaks in the range 10° ≤ 2θ ≤ 90°, in order of falling intensity:
2θ (°)  d (Å)  I_rel
29.5  3.032  100
30.9  2.896  70
27.6  3.235  60
25.2  3.527  48
23.8  3.746  47
42.5  2.126  23
50.6  1.805  21
51.4  1.777  21
49.0  1.859  20
34.0  2.637  20



For Y8Zn2Os, a DFT-relaxed cell (GGA-PBE, Alexandria) gives the theoretical powder diffraction line list in this record (Cu Kα, 1.54184 Å).

Atomic structure:
a b c (Å): 8.7203 8.7203 6.1856
angles (deg): 103.89 103.89 128.07
Element x y z (fractional)
Y1 0.0000 0.0000 0.0000
Y2 0.0874 0.4711 0.1344
Y3 0.1186 0.8832 0.4798
Y4 0.4279 0.6576 0.8309
Y5 0.4711 0.0874 0.1344
Y6 0.5592 0.5592 0.3643
Y7 0.6576 0.4279 0.8309
Y8 0.8832 0.1186 0.4798
Zn1 0.5536 0.9891 0.6523
Zn2 0.9891 0.5536 0.6523
Os1 0.2697 0.2697 0.8543

Principal peaks in the range 10° ≤ 2θ ≤ 90°, in order of falling intensity:
2θ (°)  d (Å)  I_rel
32.3  2.768  100
32.5  2.756  82
32.8  2.730  46
36.6  2.457  37
37.6  2.390  35
36.3  2.477  35
30.2  2.955  30
39.8  2.264  28
16.0  5.524  27
15.0  5.915  24



For Be2Re2Si, a DFT-relaxed cell (GGA-PBE, Alexandria) gives the theoretical powder diffraction line list in this record (Cu Kα, 1.54184 Å).

Atomic structure:
a b c (Å): 5.8546 5.8546 3.2071
angles (deg): 90.00 90.00 90.00
Element x y z (fractional)
Be1 0.1198 0.3802 0.0000
Be2 0.3802 0.8802 0.0000
Be3 0.6198 0.1198 0.0000
Be4 0.8802 0.6198 0.0000
Re1 0.1785 0.6785 0.5000
Re2 0.3215 0.1785 0.5000
Re3 0.6785 0.8215 0.5000
Re4 0.8215 0.3215 0.5000
Si1 0.0000 0.0000 0.0000
Si2 0.5000 0.5000 0.0000

Principal peaks in the range 10° ≤ 2θ ≤ 90°, in order of falling intensity:
2θ (°)  d (Å)  I_rel
44.7  2.028  100
34.2  2.618  91
27.8  3.207  66
41.8  2.162  56
30.5  2.927  39
72.8  1.298  35
74.9  1.268  26
68.6  1.367  25
57.5  1.603  24
65.8  1.420  24



For HfCrGe2, a DFT-relaxed cell (GGA-PBE, Alexandria) gives the theoretical powder diffraction line list in this record (Cu Kα, 1.54184 Å).

Atomic structure:
a b c (Å): 9.2405 9.9941 8.1906
angles (deg): 90.00 90.00 90.00
Element x y z (fractional)
Hf1 0.1658 0.1798 0.0000
Hf2 0.1712 0.4517 0.2446
Hf3 0.1712 0.4517 0.7554
Hf4 0.3288 0.9517 0.2446
Hf5 0.3288 0.9517 0.7554
Hf6 0.3342 0.6798 0.0000
Hf7 0.6658 0.3202 0.0000
Hf8 0.6712 0.0483 0.2446
Hf9 0.6712 0.0483 0.7554
Hf10 0.8288 0.5483 0.2446
Hf11 0.8288 0.5483 0.7554
Hf12 0.8342 0.8202 0.0000
Cr1 0.0000 0.0000 0.2441
Cr2 0.0000 0.0000 0.7559
Cr3 0.0793 0.7548 0.2489
Cr4 0.0793 0.7548 0.7511
Cr5 0.4207 0.2548 0.2489
Cr6 0.4207 0.2548 0.7511
Cr7 0.5000 0.5000 0.2441
Cr8 0.5000 0.5000 0.7559
Cr9 0.5793 0.7452 0.2489
Cr10 0.5793 0.7452 0.7511
Cr11 0.9207 0.2452 0.2489
Cr12 0.9207 0.2452 0.7511
Ge1 0.0388 0.6250 0.5000
Ge2 0.0420 0.6214 0.0000
Ge3 0.1250 0.9069 0.5000
Ge4 0.1323 0.8998 0.0000
Ge5 0.1722 0.1811 0.3428
Ge6 0.1722 0.1811 0.6572
Ge7 0.3278 0.6811 0.3428
Ge8 0.3278 0.6811 0.6572
Ge9 0.3677 0.3998 0.0000
Ge10 0.3750 0.4069 0.5000
Ge11 0.4580 0.1214 0.0000
Ge12 0.4612 0.1250 0.5000
Ge13 0.5388 0.8750 0.5000
Ge14 0.5420 0.8786 0.0000
Ge15 0.6250 0.5931 0.5000
Ge16 0.6323 0.6002 0.0000
Ge17 0.6722 0.3189 0.3428
Ge18 0.6722 0.3189 0.6572
Ge19 0.8278 0.8189 0.3428
Ge20 0.8278 0.8189 0.6572
Ge21 0.8677 0.1002 0.0000
Ge22 0.8750 0.0931 0.5000
Ge23 0.9580 0.3786 0.0000
Ge24 0.9612 0.3750 0.5000

Principal peaks in the range 10° ≤ 2θ ≤ 90°, in order of falling intensity:
2θ (°)  d (Å)  I_rel
37.6  2.391  100
40.0  2.254  93
37.3  2.412  51
39.9  2.262  50
44.2  2.048  31
42.4  2.133  29
29.8  2.996  17
28.2  3.167  17
78.5  1.218  17
65.9  1.418  15



For TlNi4Se, a DFT-relaxed cell (GGA-PBE, Alexandria) gives the theoretical powder diffraction line list in this record (Cu Kα, 1.54184 Å).

Atomic structure:
a b c (Å): 4.9550 4.9550 4.9550
angles (deg): 60.00 60.00 60.00
Element x y z (fractional)
Tl1 0.0000 0.0000 0.0000
Ni1 0.1266 0.6245 0.6245
Ni2 0.6245 0.1266 0.6245
Ni3 0.6245 0.6245 0.1266
Ni4 0.6245 0.6245 0.6245
Se1 0.2500 0.2500 0.2500

Principal peaks in the range 10° ≤ 2θ ≤ 90°, in order of falling intensity:
2θ (°)  d (Å)  I_rel
42.8  2.113  100
36.3  2.477  54
69.7  1.349  30
77.0  1.239  21
44.8  2.023  21
65.2  1.430  20
22.0  4.046  18
25.4  3.504  12
88.2  1.108  9
58.9  1.567  5